# 1
For CrCo4Ni8, the GGA-PBE geometry in Alexandria gives the simulated powder diffractogram in this record (Cu Kα (λ = 1.5418 Å)).
Kinematic intensities with the Lorentz-polarization factor, no thermal factor.

The 8 most intense peaks (2θ = 15–90°), most intense first:
2θ/deg  d_spacing  I/Imax
46.9  1.936  100.0
87.2  1.118  28.2
28.2  3.162  16.2
68.5  1.369  14.3
32.7  2.739  10.0
55.7  1.651  6.6
36.7  2.449  4.4
23.0  3.873  3.4

Cell and atoms:
Lattice parameters (Å, degrees): 5.477 5.477 5.477 90.00 90.00 90.00
Fractional positions:
Cr (0.000, 0.000, 0.000)
Co (0.000, 0.000, 0.500)
Co (0.000, 0.500, 0.000)
Co (0.500, 0.000, 0.000)
Co (0.500, 0.500, 0.500)
Ni (0.259, 0.259, 0.259)
Ni (0.259, 0.259, 0.741)
Ni (0.259, 0.741, 0.259)
Ni (0.259, 0.741, 0.741)
Ni (0.741, 0.259, 0.259)
Ni (0.741, 0.259, 0.741)
Ni (0.741, 0.741, 0.259)
Ni (0.741, 0.741, 0.741)

---

# 2
For CrCo4Ni2, the GGA-PBE geometry in Alexandria gives the simulated powder diffractogram in this record (Cu Kα (λ = 1.5418 Å)).
Kinematic intensities with the Lorentz-polarization factor, no thermal factor.

The 8 most intense peaks (2θ = 15–90°), most intense first:
2θ/deg  d_spacing  I/Imax
38.1  2.363  100.0
44.1  2.053  99.0
49.2  1.852  75.6
48.3  1.884  66.3
50.5  1.808  64.6
46.6  1.947  59.1
45.3  2.002  51.9
44.3  2.043  51.1

Cell and atoms:
Lattice parameters (Å, degrees): 4.212 8.431 9.100 90.00 90.00 90.00
Fractional positions:
Cr (0.000, 0.000, 0.000)
Cr (0.000, 0.500, 0.500)
Cr (0.500, 0.000, 0.500)
Cr (0.500, 0.500, 0.000)
Co (0.157, 0.216, 0.441)
Co (0.157, 0.284, 0.941)
Co (0.177, 0.182, 0.187)
Co (0.177, 0.318, 0.687)
Co (0.323, 0.682, 0.187)
Co (0.323, 0.818, 0.687)
Co (0.343, 0.716, 0.441)
Co (0.343, 0.784, 0.941)
Co (0.657, 0.216, 0.059)
Co (0.657, 0.284, 0.559)
Co (0.677, 0.182, 0.313)
Co (0.677, 0.318, 0.813)
Co (0.823, 0.682, 0.313)
Co (0.823, 0.818, 0.813)
Co (0.843, 0.716, 0.059)
Co (0.843, 0.784, 0.559)
Ni (0.027, 0.553, 0.832)
Ni (0.027, 0.947, 0.332)
Ni (0.473, 0.053, 0.832)
Ni (0.473, 0.447, 0.332)
Ni (0.527, 0.553, 0.668)
Ni (0.527, 0.947, 0.168)
Ni (0.973, 0.053, 0.668)
Ni (0.973, 0.447, 0.168)

---

# 3
For CrCo4Ni3, the GGA-PBE geometry in Alexandria gives the simulated powder diffractogram in this record (Cu Kα (λ = 1.5418 Å)).
Kinematic intensities with the Lorentz-polarization factor, no thermal factor.

The 8 most intense peaks (2θ = 15–90°), most intense first:
2θ/deg  d_spacing  I/Imax
45.2  2.006  100.0
54.3  1.689  53.7
46.8  1.943  44.6
45.8  1.980  44.6
51.3  1.780  32.7
22.5  3.959  25.9
78.7  1.216  17.3
18.3  4.857  16.4

Cell and atoms:
Lattice parameters (Å, degrees): 9.792 9.792 4.306 90.88 90.88 14.25
Fractional positions:
Cr (0.000, 0.000, 0.000)
Co (0.099, 0.099, 0.729)
Co (0.198, 0.198, 0.411)
Co (0.802, 0.802, 0.589)
Co (0.901, 0.901, 0.271)
Ni (0.303, 0.303, 0.079)
Ni (0.500, 0.500, 0.500)
Ni (0.697, 0.697, 0.921)

---

# 4
For CrCoNi6, the GGA-PBE geometry in Alexandria gives the simulated powder diffractogram in this record (Cu Kα (λ = 1.5418 Å)).
Kinematic intensities with the Lorentz-polarization factor, no thermal factor.

The 3 most intense peaks (2θ = 15–90°), most intense first:
2θ/deg  d_spacing  I/Imax
44.4  2.042  100.0
51.7  1.768  46.3
76.1  1.250  26.5

Cell and atoms:
Lattice parameters (Å, degrees): 6.124 6.124 10.009 90.00 90.00 109.55
Fractional positions:
Cr (0.000, 0.000, 0.249)
Cr (0.000, 0.000, 0.751)
Cr (0.248, 0.752, 0.000)
Cr (0.752, 0.248, 0.000)
Co (0.246, 0.754, 0.500)
Co (0.500, 0.500, 0.251)
Co (0.500, 0.500, 0.749)
Co (0.754, 0.246, 0.500)
Ni (0.000, 0.000, 0.000)
Ni (0.000, 0.000, 0.500)
Ni (0.126, 0.378, 0.376)
Ni (0.126, 0.378, 0.624)
Ni (0.127, 0.377, 0.125)
Ni (0.127, 0.377, 0.875)
Ni (0.250, 0.750, 0.251)
Ni (0.250, 0.750, 0.749)
Ni (0.377, 0.127, 0.125)
Ni (0.377, 0.127, 0.875)
Ni (0.378, 0.126, 0.376)
Ni (0.378, 0.126, 0.624)
Ni (0.500, 0.500, 0.000)
Ni (0.500, 0.500, 0.500)
Ni (0.622, 0.874, 0.376)
Ni (0.622, 0.874, 0.624)
Ni (0.623, 0.873, 0.125)
Ni (0.623, 0.873, 0.875)
Ni (0.750, 0.250, 0.251)
Ni (0.750, 0.250, 0.749)
Ni (0.873, 0.623, 0.125)
Ni (0.873, 0.623, 0.875)
Ni (0.874, 0.622, 0.376)
Ni (0.874, 0.622, 0.624)

---

# 5
For Cr4CoNiS8, the GGA-PBE geometry in Alexandria gives the simulated powder diffractogram in this record (Cu Kα (λ = 1.5418 Å)).
Kinematic intensities with the Lorentz-polarization factor, no thermal factor.

The 8 most intense peaks (2θ = 15–90°), most intense first:
2θ/deg  d_spacing  I/Imax
30.4  2.937  100.0
53.2  1.722  87.4
36.9  2.435  46.6
48.6  1.875  40.3
25.9  3.444  33.7
74.9  1.268  16.4
45.6  1.988  13.2
78.6  1.218  12.7

Cell and atoms:
Lattice parameters (Å, degrees): 6.888 6.888 6.888 60.00 60.00 60.00
Fractional positions:
Cr (0.125, 0.125, 0.125)
Cr (0.125, 0.125, 0.624)
Cr (0.125, 0.624, 0.125)
Cr (0.624, 0.125, 0.125)
Co (0.750, 0.750, 0.750)
Ni (0.500, 0.500, 0.500)
S (0.359, 0.880, 0.880)
S (0.370, 0.370, 0.370)
S (0.370, 0.370, 0.891)
S (0.370, 0.891, 0.370)
S (0.880, 0.359, 0.880)
S (0.880, 0.880, 0.359)
S (0.880, 0.880, 0.880)
S (0.891, 0.370, 0.370)

---

# 6
For Cr8Co3NiS16, the GGA-PBE geometry in Alexandria gives the simulated powder diffractogram in this record (Cu Kα (λ = 1.5418 Å)).
Kinematic intensities with the Lorentz-polarization factor, no thermal factor.

The 8 most intense peaks (2θ = 15–90°), most intense first:
2θ/deg  d_spacing  I/Imax
30.4  2.943  100.0
53.1  1.726  88.1
36.8  2.440  47.7
48.5  1.879  40.8
25.8  3.451  33.4
74.7  1.271  16.3
45.5  1.993  13.0
78.4  1.220  12.7

Cell and atoms:
Lattice parameters (Å, degrees): 11.957 11.957 11.957 33.55 33.55 33.55
Fractional positions:
Cr (0.000, 0.000, 0.000)
Cr (0.249, 0.249, 0.750)
Cr (0.249, 0.750, 0.249)
Cr (0.250, 0.750, 0.750)
Cr (0.499, 0.499, 0.499)
Cr (0.750, 0.249, 0.249)
Cr (0.750, 0.250, 0.750)
Cr (0.750, 0.750, 0.250)
Co (0.187, 0.187, 0.187)
Co (0.312, 0.312, 0.312)
Co (0.812, 0.812, 0.812)
Ni (0.687, 0.687, 0.687)
S (0.116, 0.116, 0.639)
S (0.116, 0.639, 0.116)
S (0.121, 0.121, 0.121)
S (0.138, 0.616, 0.616)
S (0.361, 0.883, 0.883)
S (0.377, 0.377, 0.377)
S (0.384, 0.384, 0.859)
S (0.384, 0.859, 0.384)
S (0.616, 0.138, 0.616)
S (0.616, 0.616, 0.138)
S (0.622, 0.622, 0.622)
S (0.639, 0.116, 0.116)
S (0.859, 0.384, 0.384)
S (0.877, 0.877, 0.877)
S (0.883, 0.361, 0.883)
S (0.883, 0.883, 0.361)

---

# 7
For Cr8Co3NiS16, the GGA-PBE geometry in Alexandria gives the simulated powder diffractogram in this record (Cu Kα (λ = 1.5418 Å)).
Kinematic intensities with the Lorentz-polarization factor, no thermal factor.

The 8 most intense peaks (2θ = 15–90°), most intense first:
2θ/deg  d_spacing  I/Imax
30.4  2.943  100.0
53.1  1.726  88.1
36.8  2.440  47.7
48.5  1.879  40.8
25.8  3.451  33.4
74.7  1.271  13.7
45.5  1.993  13.0
62.4  1.489  10.9

Cell and atoms:
Lattice parameters (Å, degrees): 6.907 6.907 9.750 90.00 90.00 90.00
Fractional positions:
Cr (0.000, 0.250, 0.374)
Cr (0.000, 0.750, 0.374)
Cr (0.249, 0.500, 0.125)
Cr (0.250, 0.000, 0.626)
Cr (0.500, 0.249, 0.875)
Cr (0.500, 0.751, 0.875)
Cr (0.750, 0.000, 0.626)
Cr (0.751, 0.500, 0.125)
Co (0.000, 0.500, 0.750)
Co (0.500, 0.000, 0.250)
Co (0.500, 0.500, 0.500)
Ni (0.000, 0.000, 0.000)
S (0.000, 0.238, 0.620)
S (0.000, 0.261, 0.130)
S (0.000, 0.739, 0.130)
S (0.000, 0.762, 0.620)
S (0.238, 0.000, 0.380)
S (0.238, 0.500, 0.369)
S (0.261, 0.000, 0.870)
S (0.261, 0.500, 0.881)
S (0.500, 0.238, 0.631)
S (0.500, 0.261, 0.119)
S (0.500, 0.739, 0.119)
S (0.500, 0.762, 0.631)
S (0.739, 0.000, 0.870)
S (0.739, 0.500, 0.881)
S (0.762, 0.000, 0.380)
S (0.762, 0.500, 0.369)